Li2CrP2O7: simulated powder XRD pattern (λ = 1.5418 Å (Cu Kα)), based on a GGA+U-relaxed structure.

Peak list (10 most intense, 10° ≤ 2θ ≤ 80°, low angle first)
h k l, 2θ/deg, I_rel
0 1 1, 16.76, 100
1 1 0, 20.55, 81
0 2 1, 24.57, 14
1 0 -2, 26.41, 11
1 2 0, 27.33, 55
1 2 -1, 27.57, 19
1 1 1, 27.69, 51
1 1 -2, 28.40, 32
0 2 2, 33.91, 34
1 2 2, 42.80, 10

Structure:
```
data_Li2CrP2O7
_cell_length_a 5.329
_cell_length_b 8.615
_cell_length_c 7.142
_cell_angle_alpha 90.00
_cell_angle_beta 110.22
_cell_angle_gamma 90.00
_symmetry_space_group_name_H-M 'P 1 21 1'
_symmetry_Int_Tables_number 4
_symmetry_space_group_name_Hall 'P 2yb'
loop_
_atom_site_label
_atom_site_type_symbol
_atom_site_fract_x
_atom_site_fract_y
_atom_site_fract_z
_atom_site_occupancy
Li1 Li 0.083 0.000 0.364 1
Li2 Li 0.260 0.824 0.097 1
Cr1 Cr 0.042 0.143 0.732 1
P1 P 0.326 0.439 0.071 1
P2 P 0.334 0.343 0.477 1
O1 O 0.130 0.357 0.884 1
O2 O 0.147 0.479 0.475 1
O3 O 0.202 0.594 0.102 1
O4 O 0.217 0.189 0.520 1
O5 O 0.331 0.321 0.250 1
O6 O 0.380 0.868 0.385 1
O7 O 0.392 0.954 0.932 1
```